[1]
Calculated powder XRD pattern
Compound: Pr2GaPRh6
Radiation: Cu Kα (weighted mean of Kα1 and Kα2)
Structure: a DFT-relaxed cell (PBE, Alexandria)
Peak positions follow from Bragg's law for the DFT cell and can differ from measured ones.

Crystal structure
```
Pr2GaPRh6
1.0
6.8548 0.0000 0.0000
0.0000 8.8560 0.0000
0.0000 0.0000 6.0612
Pr Ga P Rh
4 2 2 12
direct
0.2500 0.0057 0.2339
0.2500 0.4943 0.2339
0.7500 0.5057 0.7661
0.7500 0.9943 0.7661
0.2500 0.7500 0.8626
0.7500 0.2500 0.1374
0.2500 0.2500 0.6365
0.7500 0.7500 0.3635
0.0405 0.7500 0.5214
0.0515 0.2500 0.9535
0.2500 0.0052 0.7191
0.2500 0.4948 0.7191
0.4485 0.2500 0.9535
0.4595 0.7500 0.5214
0.5405 0.2500 0.4786
0.5515 0.7500 0.0465
0.7500 0.5052 0.2809
0.7500 0.9948 0.2809
0.9485 0.7500 0.0465
0.9595 0.2500 0.4786
```

Top 12 peaks for 2θ from 10° to 80°, sorted by position:
d 3.170, I = 176; d 2.710, I = 1000; d 2.501, I = 1000; d 2.270, I = 704; d 2.214, I = 520; d 2.078, I = 238; d 1.732, I = 136; d 1.714, I = 133; d 1.585, I = 447; d 1.414, I = 176; d 1.355, I = 228; d 1.323, I = 244

=====

[2]
Calculated powder XRD pattern
Compound: GaPPt4
Radiation: Cu Kα (weighted mean of Kα1 and Kα2)
Structure: a DFT-relaxed cell (PBE, Alexandria)
Peak positions follow from Bragg's law for the DFT cell and can differ from measured ones.

Crystal structure
```
GaPPt4
1.0
3.6208 0.0000 0.0000
0.0000 3.9058 0.0000
-0.0812 0.0000 6.8595
Ga P Pt
1 1 4
direct
0.0000 0.0000 0.0000
0.5000 0.5000 0.5000
0.2485 0.5000 0.8147
0.2497 0.0000 0.3462
0.7503 0.0000 0.6538
0.7515 0.5000 0.1853
```

Top 12 peaks for 2θ from 10° to 80°, sorted by position:
d 3.430, I = 163; d 3.394, I = 257; d 2.505, I = 297; d 2.483, I = 819; d 2.471, I = 1000; d 1.973, I = 584; d 1.953, I = 307; d 1.810, I = 143; d 1.593, I = 146; d 1.540, I = 137; d 1.533, I = 173; d 1.327, I = 198

=====

[3]
Calculated powder XRD pattern
Compound: RbGaP
Radiation: Cu Kα (weighted mean of Kα1 and Kα2)
Structure: a DFT-relaxed cell (PBE, Alexandria)
Peak positions follow from Bragg's law for the DFT cell and can differ from measured ones.

Crystal structure
```
RbGaP
1.0
8.2336 0.0000 0.0000
0.0000 5.5761 0.0000
-0.5265 0.0000 7.4326
Rb Ga P
4 4 4
direct
0.1546 0.0371 0.2313
0.1546 0.4629 0.7313
0.8454 0.5371 0.2687
0.8454 0.9629 0.7687
0.4664 0.7025 0.0713
0.4664 0.7975 0.5713
0.5336 0.2025 0.4287
0.5336 0.2975 0.9287
0.3324 0.5384 0.3377
0.3324 0.9616 0.8377
0.6676 0.0384 0.1623
0.6676 0.4616 0.6623
```

Top 12 peaks for 2θ from 10° to 80°, sorted by position:
d 8.213, I = 379; d 3.991, I = 332; d 3.479, I = 216; d 3.302, I = 393; d 3.088, I = 358; d 2.957, I = 1000; d 2.858, I = 189; d 2.738, I = 219; d 2.640, I = 250; d 2.307, I = 199; d 2.230, I = 298; d 1.746, I = 156

=====

[4]
Calculated powder XRD pattern
Compound: Rb2Ga2Sb2P
Radiation: Cu Kα (weighted mean of Kα1 and Kα2)
Structure: a DFT-relaxed cell (PBE, Alexandria)
Peak positions follow from Bragg's law for the DFT cell and can differ from measured ones.

Crystal structure
```
Rb2Ga2Sb2P
1.0
4.4338 0.0000 0.0000
2.1955 7.1304 0.0000
2.2128 2.4054 7.9595
Rb Ga Sb P
2 2 2 1
direct
0.0367 0.1831 0.2413
0.9633 0.8169 0.7587
0.3242 0.6450 0.2117
0.6758 0.3550 0.7883
0.2808 0.3340 0.5989
0.7192 0.6660 0.4011
0.5000 0.5000 0.0000
```

Top 12 peaks for 2θ from 10° to 80°, sorted by position:
d 7.960, I = 298; d 6.826, I = 476; d 3.975, I = 222; d 3.528, I = 250; d 3.242, I = 483; d 3.166, I = 1000; d 3.005, I = 653; d 2.852, I = 475; d 2.438, I = 273; d 2.217, I = 348; d 2.081, I = 244; d 2.056, I = 292

=====

[5]
Calculated powder XRD pattern
Compound: GaPRh2
Radiation: Cu Kα (weighted mean of Kα1 and Kα2)
Structure: a DFT-relaxed cell (PBE, Alexandria)
Peak positions follow from Bragg's law for the DFT cell and can differ from measured ones.

Crystal structure
```
GaPRh2
1.0
6.9638 0.0000 0.0000
0.0000 6.1044 0.0000
-0.0076 0.0000 5.5644
Ga P Rh
4 4 8
direct
0.1146 0.1000 0.3053
0.1146 0.4000 0.8053
0.8854 0.6000 0.1947
0.8854 0.9000 0.6947
0.3698 0.5579 0.1936
0.3698 0.9421 0.6936
0.6302 0.0579 0.3064
0.6302 0.4421 0.8064
0.1668 0.6995 0.4927
0.1668 0.8005 0.9927
0.4083 0.2110 0.0097
0.4083 0.2890 0.5097
0.5917 0.7110 0.4903
0.5917 0.7890 0.9903
0.8332 0.1995 0.0073
0.8332 0.3005 0.5073
```

Top 12 peaks for 2θ from 10° to 80°, sorted by position:
d 3.052, I = 284; d 3.024, I = 509; d 2.782, I = 214; d 2.676, I = 187; d 2.657, I = 284; d 2.170, I = 209; d 2.122, I = 389; d 2.056, I = 466; d 2.048, I = 1000; d 1.911, I = 196; d 1.757, I = 327; d 1.741, I = 153

=====

[6]
Calculated powder XRD pattern
Compound: GaPS2
Radiation: Cu Kα (weighted mean of Kα1 and Kα2)
Structure: a DFT-relaxed cell (PBE, Alexandria)
Peak positions follow from Bragg's law for the DFT cell and can differ from measured ones.

Crystal structure
```
GaPS2
1.0
1.7456 1.0078 7.5082
-1.7456 1.0078 7.5082
0.0000 -2.0156 7.5082
Ga P S
1 1 2
direct
0.0000 0.0000 0.0000
0.5000 0.5000 0.5000
0.3955 0.3955 0.3955
0.6045 0.6045 0.6045
```

Top 12 peaks for 2θ from 10° to 80°, sorted by position:
d 7.508, I = 977; d 3.754, I = 139; d 2.920, I = 1000; d 2.664, I = 114; d 2.510, I = 516; d 2.060, I = 454; d 1.806, I = 429; d 1.746, I = 393; d 1.700, I = 123; d 1.498, I = 121; d 1.332, I = 104; d 1.255, I = 125

=====

- Number 3 is which compound?
  RbGaP